[1]
# HgRhAu
Computed powder diffraction line list, Cu Kα (weighted mean of Kα1 and Kα2). Input: a structure optimized by DFT (PBE).
Peak positions follow from Bragg's law for the DFT cell and can differ from measured ones.

Structural model:
Unit cell a=4.4613 b=4.4613 c=4.4613 alpha=60.00 beta=60.00 gamma=60.00
Positions (direct):
Hg: 0.0000 0.0000 0.0000
Rh: 0.2500 0.2500 0.2500
Au: 0.5000 0.5000 0.5000

Principal peaks in the range 10 to 90 degrees two-theta, sorted by position:
d_spacing	two_theta	I_rel
3.155	28.29	43
2.231	40.44	100
1.821	50.08	12
1.577	58.52	17
1.411	66.25	17
1.288	73.54	35


[2]
# SrPm2Ho
Computed powder diffraction line list, Cu Kα (weighted mean of Kα1 and Kα2). Input: a structure optimized by DFT (PBE).
Peak positions follow from Bragg's law for the DFT cell and can differ from measured ones.

Structural model:
Unit cell a=4.0945 b=4.0945 c=9.1635 alpha=90.00 beta=90.00 gamma=90.00
Positions (direct):
Sr: 0.0000 0.0000 0.0000
Pm: 0.5000 0.5000 0.2945
Pm: 0.5000 0.5000 0.7055
Ho: 0.0000 0.0000 0.5000

Principal peaks in the range 10 to 90 degrees two-theta, sorted by position:
d_spacing	two_theta	I_rel
3.053	29.25	100
2.895	30.89	50
2.448	36.71	18
2.047	44.24	19
1.700	53.92	37
1.103	88.73	13


[3]
# Li2TiPt
Computed powder diffraction line list, Cu Kα (weighted mean of Kα1 and Kα2). Input: a structure optimized by DFT (PBE).
Peak positions follow from Bragg's law for the DFT cell and can differ from measured ones.

Structural model:
Unit cell a=10.1505 b=10.1505 c=10.1505 alpha=159.26 beta=159.26 gamma=29.50
Positions (direct):
Li: 0.0991 0.6250 0.9741
Li: 0.3750 0.3491 0.4741
Li: 0.6509 0.1250 0.0259
Li: 0.8750 0.9009 0.5259
Ti: 0.2500 0.7500 0.5000
Ti: 0.5000 0.5000 0.0000
Pt: 0.0000 0.0000 0.0000
Pt: 0.7500 0.2500 0.5000

Principal peaks in the range 10 to 90 degrees two-theta, sorted by position:
d_spacing	two_theta	I_rel
4.908	18.07	100
3.593	24.78	37
3.191	27.96	27
2.499	35.94	79
2.028	44.69	43
1.712	53.51	27


[4]
# Pm2Cd3Ag3
Computed powder diffraction line list, Cu Kα (weighted mean of Kα1 and Kα2). Input: a structure optimized by DFT (PBE).
Peak positions follow from Bragg's law for the DFT cell and can differ from measured ones.

Structural model:
Unit cell a=8.7221 b=8.7221 c=8.7221 alpha=33.74 beta=33.74 gamma=33.74
Positions (direct):
Pm: 0.0000 0.0000 0.0000
Pm: 0.4951 0.4951 0.4951
Cd: 0.2488 0.2488 0.2488
Cd: 0.7462 0.7462 0.7462
Cd: 0.8732 0.8732 0.8732
Ag: 0.1252 0.1252 0.1252
Ag: 0.3703 0.3703 0.3703
Ag: 0.6218 0.6218 0.6218

Principal peaks in the range 10 to 90 degrees two-theta, sorted by position:
d_spacing	two_theta	I_rel
2.531	35.47	100
2.521	35.61	98
1.786	51.14	34
1.460	63.74	51
1.454	64.05	16
1.131	85.94	15


[5]
# YBeMo2
Computed powder diffraction line list, Cu Kα (weighted mean of Kα1 and Kα2). Input: a structure optimized by DFT (PBE).
Peak positions follow from Bragg's law for the DFT cell and can differ from measured ones.

Structural model:
Unit cell a=3.2725 b=3.2725 c=6.5697 alpha=90.00 beta=90.00 gamma=90.00
Positions (direct):
Y: 0.0000 0.0000 0.0000
Be: 0.0000 0.0000 0.5000
Mo: 0.5000 0.5000 0.3294
Mo: 0.5000 0.5000 0.6706

Principal peaks in the range 10 to 90 degrees two-theta, sorted by position:
d_spacing	two_theta	I_rel
2.929	30.52	74
2.316	38.88	100
2.190	41.22	20
1.636	56.22	17
1.591	57.98	28
1.337	70.43	16


[6]
# Li2SmGeS4
Computed powder diffraction line list, Cu Kα (weighted mean of Kα1 and Kα2). Input: a structure optimized by DFT (PBE).
Peak positions follow from Bragg's law for the DFT cell and can differ from measured ones.

Structural model:
Unit cell a=6.5225 b=3.8193 c=6.6882 alpha=90.00 beta=109.77 gamma=90.00
Positions (direct):
Li: 0.0000 0.0000 0.0000
Li: 0.0000 0.5000 0.5000
Sm: 0.5000 0.0000 0.5000
Ge: 0.5000 0.5000 0.0000
S: 0.2485 0.5000 0.2289
S: 0.2530 0.0000 0.7672
S: 0.7470 0.0000 0.2328
S: 0.7515 0.5000 0.7711

Principal peaks in the range 10 to 90 degrees two-theta, sorted by position:
d_spacing	two_theta	I_rel
6.138	14.43	85
3.288	27.12	19
3.265	27.31	39
2.696	33.23	100
1.925	47.21	23
1.889	48.16	23


[7]
# Cr5W4
Computed powder diffraction line list, Cu Kα (weighted mean of Kα1 and Kα2). Input: a structure optimized by DFT (PBE).
Peak positions follow from Bragg's law for the DFT cell and can differ from measured ones.

Structural model:
Unit cell a=6.5732 b=6.5732 c=6.5732 alpha=93.06 beta=93.06 gamma=153.27
Positions (direct):
Cr: 0.0000 0.0000 0.0000
Cr: 0.3366 0.3366 0.6732
Cr: 0.3366 0.6634 0.0000
Cr: 0.6634 0.3366 0.0000
Cr: 0.6634 0.6634 0.3268
W: 0.0000 0.3234 0.3234
W: 0.0000 0.6766 0.6766
W: 0.3234 0.0000 0.3234
W: 0.6766 0.0000 0.6766

Principal peaks in the range 10 to 90 degrees two-theta, sorted by position:
d_spacing	two_theta	I_rel
6.395	13.85	33
3.198	27.90	17
2.429	37.00	23
2.140	42.23	100
2.132	42.40	49
1.232	77.45	31


[8]
# Th2CdFe2
Computed powder diffraction line list, Cu Kα (weighted mean of Kα1 and Kα2). Input: a structure optimized by DFT (PBE).
Peak positions follow from Bragg's law for the DFT cell and can differ from measured ones.

Structural model:
Unit cell a=7.4910 b=7.4910 c=3.9641 alpha=90.00 beta=90.00 gamma=149.75
Positions (direct):
Th: 0.1388 0.8612 0.0000
Th: 0.8612 0.1388 0.0000
Cd: 0.5000 0.5000 0.5000
Fe: 0.2942 0.7058 0.5000
Fe: 0.7058 0.2942 0.5000

Principal peaks in the range 10 to 90 degrees two-theta, sorted by position:
d_spacing	two_theta	I_rel
3.037	29.41	59
2.733	32.76	100
2.671	33.55	86
2.411	37.30	60
1.659	55.37	46
1.578	58.51	35


[9]
# Ca2HfAgSn
Computed powder diffraction line list, Cu Kα (weighted mean of Kα1 and Kα2). Input: a structure optimized by DFT (PBE).
Peak positions follow from Bragg's law for the DFT cell and can differ from measured ones.

Structural model:
Unit cell a=5.7994 b=5.7994 c=5.0747 alpha=90.00 beta=90.00 gamma=90.00
Positions (direct):
Ca: 0.0000 0.5000 0.0000
Ca: 0.5000 0.0000 0.0000
Hf: 0.0000 0.0000 0.0000
Ag: 0.0000 0.0000 0.5000
Sn: 0.5000 0.5000 0.5000

Principal peaks in the range 10 to 90 degrees two-theta, sorted by position:
d_spacing	two_theta	I_rel
5.799	15.28	61
4.101	21.67	100
3.819	23.29	54
2.900	30.84	99
2.158	41.87	38
1.910	47.62	58


[10]
# RbInGaAs2
Computed powder diffraction line list, Cu Kα (weighted mean of Kα1 and Kα2). Input: a structure optimized by DFT (PBE).
Peak positions follow from Bragg's law for the DFT cell and can differ from measured ones.

Structural model:
Unit cell a=7.8553 b=7.8553 c=6.7038 alpha=90.00 beta=90.00 gamma=130.23
Positions (direct):
Rb: 0.2500 0.7500 0.7628
Rb: 0.7500 0.2500 0.2372
In: 0.2500 0.2500 0.5000
In: 0.7500 0.7500 0.5000
Ga: 0.0000 0.0000 0.0000
Ga: 0.5000 0.5000 0.0000
As: 0.1111 0.8889 0.2644
As: 0.3889 0.6111 0.2644
As: 0.6111 0.3889 0.7356
As: 0.8889 0.1111 0.7356

Principal peaks in the range 10 to 90 degrees two-theta, sorted by position:
d_spacing	two_theta	I_rel
7.126	12.42	51
3.344	26.66	100
3.033	29.45	49
2.737	32.72	39
2.440	36.83	43
2.279	39.55	31


[11]
# AcTb4Sm10
Computed powder diffraction line list, Cu Kα (weighted mean of Kα1 and Kα2). Input: a structure optimized by DFT (PBE).
Peak positions follow from Bragg's law for the DFT cell and can differ from measured ones.

Structural model:
Unit cell a=9.6575 b=9.6575 c=9.6575 alpha=97.25 beta=97.25 gamma=138.39
Positions (direct):
Ac: 0.0000 0.0000 0.0000
Tb: 0.3204 0.4328 0.7532
Tb: 0.4328 0.6796 0.1123
Tb: 0.5672 0.3204 0.8877
Tb: 0.6796 0.5672 0.2468
Sm: 0.0430 0.6217 0.1624
Sm: 0.1194 0.9570 0.5788
Sm: 0.2500 0.7500 0.5000
Sm: 0.3783 0.5407 0.4212
Sm: 0.4593 0.8806 0.8376
Sm: 0.5407 0.1194 0.1624
Sm: 0.6217 0.4593 0.5788
Sm: 0.7500 0.2500 0.5000
Sm: 0.8806 0.0430 0.4212
Sm: 0.9570 0.3783 0.8376

Principal peaks in the range 10 to 90 degrees two-theta, sorted by position:
d_spacing	two_theta	I_rel
4.389	20.23	34
3.207	27.82	68
3.147	28.36	43
2.855	31.33	100
2.614	34.30	81
2.021	44.85	67


[12]
# La2Ge3Au2
Computed powder diffraction line list, Cu Kα (weighted mean of Kα1 and Kα2). Input: a structure optimized by DFT (PBE).
Peak positions follow from Bragg's law for the DFT cell and can differ from measured ones.

Structural model:
Unit cell a=9.9235 b=9.9235 c=7.1943 alpha=90.00 beta=90.00 gamma=153.29
Positions (direct):
La: 0.0521 0.9479 0.7500
La: 0.1563 0.8437 0.2500
La: 0.8437 0.1563 0.7500
La: 0.9479 0.0521 0.2500
Ge: 0.2225 0.7775 0.7500
Ge: 0.4413 0.5587 0.5719
Ge: 0.4413 0.5587 0.9281
Ge: 0.5587 0.4413 0.0719
Ge: 0.5587 0.4413 0.4281
Ge: 0.7775 0.2225 0.2500
Au: 0.3134 0.6866 0.0525
Au: 0.3134 0.6866 0.4475
Au: 0.6866 0.3134 0.5525
Au: 0.6866 0.3134 0.9475

Principal peaks in the range 10 to 90 degrees two-theta, sorted by position:
d_spacing	two_theta	I_rel
2.800	31.96	100
2.732	32.78	97
2.591	34.62	53
2.292	39.30	67
2.148	42.07	56
1.567	58.93	42


What did the second record say?
# SrPm2Ho
Computed powder diffraction line list, Cu Kα (weighted mean of Kα1 and Kα2). Input: a structure optimized by DFT (PBE).
Peak positions follow from Bragg's law for the DFT cell and can differ from measured ones.

Structural model:
Unit cell a=4.0945 b=4.0945 c=9.1635 alpha=90.00 beta=90.00 gamma=90.00
Positions (direct):
Sr: 0.0000 0.0000 0.0000
Pm: 0.5000 0.5000 0.2945
Pm: 0.5000 0.5000 0.7055
Ho: 0.0000 0.0000 0.5000

Principal peaks in the range 10 to 90 degrees two-theta, sorted by position:
d_spacing	two_theta	I_rel
3.053	29.25	100
2.895	30.89	50
2.448	36.71	18
2.047	44.24	19
1.700	53.92	37
1.103	88.73	13